(1)
# Ho4BIBr4
Simulated X-ray powder pattern, Cu Kα, 1.54184 Å. Input: DFT lattice parameters and positions (GGA-PBE).

Most intense lines, 10° ≤ 2θ ≤ 90°, sorted by position:
2θ = 10.2°, d = 8.701 Å, intensity 29, (2 0 0)
2θ = 10.7°, d = 8.274 Å, intensity 48, (0 0 1)
2θ = 30.8°, d = 2.903 Å, intensity 70, (6 0 0)
2θ = 30.9°, d = 2.890 Å, intensity 100, (1 1 -2)
2θ = 44.1°, d = 2.053 Å, intensity 28, (5 1 2)
2θ = 44.4°, d = 2.042 Å, intensity 28, (7 1 -2)

abc: 17.881 3.942 8.503
angles: 90.00 103.31 90.00
Space group C2/m (No. 12)
One atom of each set of equivalent atoms:
1 Ho 0.000 0.000 0.196 x4
2 Ho 0.142 0.500 0.073 x4
3 B 0.000 0.500 0.000 x2
4 I 0.000 0.500 0.500 x2
5 Br 0.166 0.000 0.324 x4
6 Br 0.172 0.000 0.843 x4

=====

(2)
# FeCu2S2
Simulated X-ray powder pattern, Cu Kα, 1.54184 Å. Input: DFT lattice parameters and positions (GGA-PBE).

Most intense lines, 10° ≤ 2θ ≤ 90°, sorted by position:
2θ = 27.4°, d = 3.252 Å, intensity 18, (3 1 1)
2θ = 28.7°, d = 3.113 Å, intensity 46, (2 2 2)
2θ = 33.2°, d = 2.696 Å, intensity 37, (4 0 0)
2θ = 36.3°, d = 2.474 Å, intensity 16, (3 3 1)
2θ = 47.7°, d = 1.906 Å, intensity 100, (4 4 0)
2θ = 88.9°, d = 1.101 Å, intensity 26, (8 4 4)

abc: 10.785 10.785 10.785
angles: 90.00 90.00 90.00
Space group F-43m (No. 216)
One atom of each set of equivalent atoms:
1 Fe 0.122 0.122 0.122 x16
2 Cu 0.119 0.119 0.381 x16
3 Cu 0.139 0.139 0.861 x16
4 S 0.000 0.000 0.000 x4
5 S 0.000 0.000 0.500 x4
6 S 0.005 0.250 0.250 x24

=====

(3)
# SrGdAgO3
Simulated X-ray powder pattern, Cu Kα, 1.54184 Å. Input: DFT lattice parameters and positions (GGA-PBE).

Most intense lines, 10° ≤ 2θ ≤ 90°, sorted by position:
2θ = 13.9°, d = 6.355 Å, intensity 55, (0 2 0)
2θ = 24.7°, d = 3.606 Å, intensity 63, (0 2 2)
2θ = 32.3°, d = 2.771 Å, intensity 100, (1 3 0)
2θ = 32.6°, d = 2.744 Å, intensity 96, (1 1 2)
2θ = 34.9°, d = 2.572 Å, intensity 45, (0 4 2)
2θ = 53.3°, d = 1.718 Å, intensity 46, (1 3 4)

abc: 3.664 12.709 8.760
angles: 90.00 90.00 90.00
Space group Cmcm (No. 63)
One atom of each set of equivalent atoms:
1 Sr 0.000 0.179 0.250 x4
2 Gd 0.000 0.500 0.000 x4
3 Ag 0.000 0.117 0.750 x4
4 O 0.000 0.116 0.516 x8
5 O 0.000 0.443 0.750 x4

=====

(4)
# KPrSiS4
Simulated X-ray powder pattern, Cu Kα, 1.54184 Å. Input: DFT lattice parameters and positions (GGA-PBE).

Most intense lines, 10° ≤ 2θ ≤ 90°, sorted by position:
2θ = 10.6°, d = 8.377 Å, intensity 100, (0 0 1)
2θ = 19.4°, d = 4.574 Å, intensity 36, (1 1 0)
2θ = 26.7°, d = 3.342 Å, intensity 25, (0 2 0)
2θ = 32.0°, d = 2.796 Å, intensity 36, (1 1 2)
2θ = 32.9°, d = 2.724 Å, intensity 25, (2 1 -2)
2θ = 39.4°, d = 2.287 Å, intensity 26, (2 2 0)

abc: 6.583 6.684 8.793
angles: 90.00 107.69 90.00
Space group P2_1 (No. 4)
One atom of each set of equivalent atoms:
1 K 0.230 0.000 0.434 x2
2 Pr 0.270 0.986 0.950 x2
3 Si 0.283 0.517 0.181 x2
4 S 0.091 0.517 0.334 x2
5 S 0.096 0.560 0.937 x2
6 S 0.476 0.253 0.212 x2
7 S 0.483 0.250 0.771 x2